[1]
# Np2InS4Cl
Theoretical powder XRD pattern, a wavelength of 1.5418 Å. Input: the GGA-PBE geometry in OQMD.
Lines closer than 0.1° are merged.

Largest 10 diffraction maxima, low angle first, 2θ = 10–90°:
d (Å)	Rel. int.
3.930	94
3.710	100
3.680	46
3.435	49
3.143	64
2.813	100
2.753	45
2.507	51
2.125	56
1.968	52

Crystal structure
Lattice parameters (Å, degrees): 6.5539 6.5539 7.7127 109.53 109.53 34.40
Element x y z (fractional)
1 Np 0.1839 0.1839 0.1981
2 Np 0.8161 0.8161 0.8019
3 In 0.0000 0.0000 0.5000
4 S 0.1681 0.1681 0.8244
5 S 0.3613 0.3613 0.5578
6 S 0.6387 0.6387 0.4422
7 S 0.8319 0.8319 0.1756
8 Cl 0.5000 0.5000 0.0000



[2]
# CdSe
Theoretical powder XRD pattern, a wavelength of 1.5418 Å. Input: the GGA-PBE geometry in OQMD.
Lines closer than 0.1° are merged.

Largest 10 diffraction maxima, low angle first, 2θ = 10–90°:
d (Å)	Rel. int.
3.767	26
3.642	100
3.557	61
3.329	59
2.271	38
2.175	91
2.007	69
1.856	57
1.475	25
1.221	26

Crystal structure
Lattice parameters (Å, degrees): 4.3498 4.3498 14.2286 90.00 90.00 120.00
Element x y z (fractional)
1 Cd 0.0000 0.0000 0.0000
2 Cd 0.0000 0.0000 0.5000
3 Cd 0.3333 0.6667 0.2499
4 Cd 0.6667 0.3333 0.7499
5 Se 0.0000 0.0000 0.3127
6 Se 0.0000 0.0000 0.8127
7 Se 0.3333 0.6667 0.0625
8 Se 0.6667 0.3333 0.5625



Copy entry 2 word for word.
# CdSe
Theoretical powder XRD pattern, a wavelength of 1.5418 Å. Input: the GGA-PBE geometry in OQMD.
Lines closer than 0.1° are merged.

Largest 10 diffraction maxima, low angle first, 2θ = 10–90°:
d (Å)	Rel. int.
3.767	26
3.642	100
3.557	61
3.329	59
2.271	38
2.175	91
2.007	69
1.856	57
1.475	25
1.221	26

Crystal structure
Lattice parameters (Å, degrees): 4.3498 4.3498 14.2286 90.00 90.00 120.00
Element x y z (fractional)
1 Cd 0.0000 0.0000 0.0000
2 Cd 0.0000 0.0000 0.5000
3 Cd 0.3333 0.6667 0.2499
4 Cd 0.6667 0.3333 0.7499
5 Se 0.0000 0.0000 0.3127
6 Se 0.0000 0.0000 0.8127
7 Se 0.3333 0.6667 0.0625
8 Se 0.6667 0.3333 0.5625



Please write out number 2 again, unchanged.
# CdSe
Theoretical powder XRD pattern, a wavelength of 1.5418 Å. Input: the GGA-PBE geometry in OQMD.
Lines closer than 0.1° are merged.

Largest 10 diffraction maxima, low angle first, 2θ = 10–90°:
d (Å)	Rel. int.
3.767	26
3.642	100
3.557	61
3.329	59
2.271	38
2.175	91
2.007	69
1.856	57
1.475	25
1.221	26

Crystal structure
Lattice parameters (Å, degrees): 4.3498 4.3498 14.2286 90.00 90.00 120.00
Element x y z (fractional)
1 Cd 0.0000 0.0000 0.0000
2 Cd 0.0000 0.0000 0.5000
3 Cd 0.3333 0.6667 0.2499
4 Cd 0.6667 0.3333 0.7499
5 Se 0.0000 0.0000 0.3127
6 Se 0.0000 0.0000 0.8127
7 Se 0.3333 0.6667 0.0625
8 Se 0.6667 0.3333 0.5625